1.
The following is a theoretical X-ray powder pattern of In3Se. It was derived from the PBE geometry in the Materials Project, using CuKα.
Neutral-atom scattering factors, no anomalous dispersion.

Crystal structure
```
data_In3Se
_symmetry_space_group_name_H-M 'P m -3 m'
_symmetry_Int_Tables_number 221
_symmetry_space_group_name_Hall '-P 4 2 3'
_cell_length_a 4.804
_cell_length_b 4.804
_cell_length_c 4.804
_cell_angle_alpha 90.00
_cell_angle_beta 90.00
_cell_angle_gamma 90.00
loop_
_atom_site_label
_atom_site_fract_x
_atom_site_fract_y
_atom_site_fract_z
In1 0.000 0.000 0.500
Se1 0.500 0.500 0.500
```

Largest 11 diffraction maxima, by intensity, 10° ≤ 2θ ≤ 80°:
- 32.28°, d = 2.773 Å, intensity 100
- 37.44°, d = 2.402 Å, intensity 50
- 64.32°, d = 1.448 Å, intensity 39
- 53.99°, d = 1.698 Å, intensity 34
- 67.55°, d = 1.387 Å, intensity 11
- 79.87°, d = 1.201 Å, intensity 5
- 18.47°, d = 4.804 Å, intensity 2
- 26.24°, d = 3.397 Å, intensity 2
- 42.06°, d = 2.148 Å, intensity 1
- 46.30°, d = 1.961 Å, intensity 1
- 57.56°, d = 1.601 Å, intensity 1

=====

2.
The following is a theoretical X-ray powder pattern of InSn3Se4. It was derived from the PBE geometry in the Materials Project, using CuKα.
Neutral-atom scattering factors, no anomalous dispersion.

Crystal structure
```
data_InSn3Se4
_symmetry_space_group_name_H-M 'P 1 m 1'
_symmetry_Int_Tables_number 6
_symmetry_space_group_name_Hall 'P -2y'
_cell_length_a 4.581
_cell_length_b 4.106
_cell_length_c 11.764
_cell_angle_alpha 90.00
_cell_angle_beta 91.45
_cell_angle_gamma 90.00
loop_
_atom_site_label
_atom_site_fract_x
_atom_site_fract_y
_atom_site_fract_z
In1 0.000 0.000 0.000
Sn1 0.292 0.000 0.499
Sn2 0.500 0.500 0.263
Sn3 0.797 0.500 0.766
Se1 0.386 0.000 0.732
Se2 0.412 0.500 0.025
Se3 0.884 0.500 0.531
Se4 0.904 0.000 0.235
```

Largest 12 diffraction maxima, by intensity, 10° ≤ 2θ ≤ 80°:
- 30.37°, d = 2.943 Å, intensity 100
- 30.08°, d = 2.971 Å, intensity 50
- 37.62°, d = 2.391 Å, intensity 26
- 44.11°, d = 2.053 Å, intensity 21
- 29.21°, d = 3.057 Å, intensity 20
- 54.51°, d = 1.683 Å, intensity 20
- 36.98°, d = 2.431 Å, intensity 19
- 48.43°, d = 1.880 Å, intensity 15
- 49.28°, d = 1.849 Å, intensity 13
- 24.33°, d = 3.658 Å, intensity 11
- 24.95°, d = 3.569 Å, intensity 11
- 39.35°, d = 2.290 Å, intensity 9

=====

3.
The following is a theoretical X-ray powder pattern of Tl3In3SnSe8. It was derived from the PBE geometry in the Materials Project, using CuKα.
Neutral-atom scattering factors, no anomalous dispersion.

Crystal structure
```
data_Tl3In3SnSe8
_symmetry_space_group_name_H-M 'C 1 2 1'
_symmetry_Int_Tables_number 5
_symmetry_space_group_name_Hall 'C 2y'
_cell_length_a 10.805
_cell_length_b 7.731
_cell_length_c 10.854
_cell_angle_alpha 90.00
_cell_angle_beta 98.20
_cell_angle_gamma 90.00
loop_
_atom_site_label
_atom_site_fract_x
_atom_site_fract_y
_atom_site_fract_z
Tl1 0.000 0.000 0.000
Tl2 0.247 0.505 0.734
In1 0.000 0.498 0.000
In2 0.176 0.515 0.316
Sn1 0.000 0.893 0.500
Se1 0.042 0.210 0.216
Se2 0.044 0.710 0.725
Se3 0.214 0.803 0.060
Se4 0.230 0.298 0.529
```

Largest 12 diffraction maxima, by intensity, 10° ≤ 2θ ≤ 80°:
- 34.32°, d = 2.613 Å, intensity 100
- 31.85°, d = 2.810 Å, intensity 58
- 27.61°, d = 3.231 Å, intensity 40
- 27.73°, d = 3.217 Å, intensity 40
- 33.52°, d = 2.674 Å, intensity 33
- 33.36°, d = 2.686 Å, intensity 32
- 15.77°, d = 5.620 Å, intensity 31
- 17.44°, d = 5.085 Å, intensity 29
- 34.13°, d = 2.627 Å, intensity 25
- 48.60°, d = 1.873 Å, intensity 24
- 28.46°, d = 3.137 Å, intensity 23
- 20.86°, d = 4.258 Å, intensity 21